This entry pairs a crystal structure of CsLiTe2 with its calculated X-ray powder pattern. Radiation: λ = 1.5418 Å (Cu Kα). Structure: the PBE geometry in Alexandria.

Main lines, sorted by position (10° ≤ 2θ ≤ 90°):
2θ (°)  Rel. int.
14.85  233
22.64  234
24.39  1000
27.59  341
30.54  215
31.82  239
32.24  186
35.53  195
35.72  429
51.16  310

Structural model:
Unit cell a=4.667 b=5.905 c=6.019 alpha=97.58 beta=90.10 gamma=90.07
Element x y z (fractional)
Cs 0.000 0.000 0.000
Li 0.999 0.500 0.500
Te 0.499 0.563 0.243
Te 0.500 0.437 0.757

---

This entry pairs a crystal structure of NaTmAgSn with its calculated X-ray powder pattern. Radiation: λ = 1.5418 Å (Cu Kα). Structure: the PBE geometry in Alexandria.

Main lines, sorted by position (10° ≤ 2θ ≤ 90°):
2θ (°)  Rel. int.
21.22  263
35.00  1000
41.29  145
50.33  177
55.21  63
62.77  363
67.06  48
73.93  112
77.94  48
84.49  161

Structural model:
Unit cell a=7.252 b=7.252 c=7.252 alpha=90.00 beta=90.00 gamma=90.00
Element x y z (fractional)
Na 0.000 0.000 0.000
Na 0.000 0.500 0.500
Na 0.500 0.000 0.500
Na 0.500 0.500 0.000
Tm 0.000 0.000 0.500
Tm 0.000 0.500 0.000
Tm 0.500 0.000 0.000
Tm 0.500 0.500 0.500
Ag 0.250 0.250 0.250
Ag 0.250 0.750 0.750
Ag 0.750 0.250 0.750
Ag 0.750 0.750 0.250
Sn 0.250 0.250 0.750
Sn 0.250 0.750 0.250
Sn 0.750 0.250 0.250
Sn 0.750 0.750 0.750

---

This entry pairs a crystal structure of CuBiPd4 with its calculated X-ray powder pattern. Radiation: λ = 1.5418 Å (Cu Kα). Structure: the PBE geometry in Alexandria.

Main lines, sorted by position (10° ≤ 2θ ≤ 90°):
2θ (°)  Rel. int.
21.49  91
38.44  1000
39.03  320
43.93  455
46.67  192
65.61  136
66.44  141
76.72  85
77.08  172
82.36  108

Structural model:
Unit cell a=4.817 b=8.791 c=4.891 alpha=90.00 beta=106.63 gamma=90.00
Element x y z (fractional)
Cu 0.000 0.000 0.000
Cu 0.000 0.500 0.500
Bi 0.500 0.000 0.500
Bi 0.500 0.500 0.000
Pd 0.001 0.169 0.501
Pd 0.001 0.331 0.001
Pd 0.499 0.661 0.499
Pd 0.499 0.839 0.999
Pd 0.501 0.161 0.001
Pd 0.501 0.339 0.501
Pd 0.999 0.669 0.999
Pd 0.999 0.831 0.499

---

This entry pairs a crystal structure of BaSrBiSbO6 with its calculated X-ray powder pattern. Radiation: λ = 1.5418 Å (Cu Kα). Structure: the PBE geometry in Alexandria.

Main lines, sorted by position (10° ≤ 2θ ≤ 90°):
2θ (°)  Rel. int.
20.71  168
29.22  1000
29.68  988
42.13  533
51.81  245
52.09  434
52.95  191
61.62  161
68.90  181
69.63  180

Structural model:
Unit cell a=6.022 b=6.022 c=6.022 alpha=61.01 beta=61.01 gamma=61.01
Element x y z (fractional)
Ba 0.000 0.000 0.000
Sr 0.486 0.486 0.486
Bi 0.748 0.748 0.748
Sb 0.249 0.249 0.249
O 0.033 0.543 0.422
O 0.101 0.474 0.939
O 0.422 0.033 0.543
O 0.474 0.939 0.101
O 0.543 0.422 0.033
O 0.939 0.101 0.474

---

This entry pairs a crystal structure of LiCuF6 with its calculated X-ray powder pattern. Radiation: λ = 1.5418 Å (Cu Kα). Structure: the PBE geometry in Alexandria.

Main lines, sorted by position (10° ≤ 2θ ≤ 90°):
2θ (°)  Rel. int.
21.10  364
21.53  1000
21.75  682
30.00  282
30.71  229
31.19  248
48.09  155
49.59  131
50.11  130
50.22  170

Structural model:
Unit cell a=5.021 b=5.021 c=8.421 alpha=91.08 beta=91.08 gamma=69.67
Element x y z (fractional)
Li 0.017 0.983 0.750
Li 0.983 0.017 0.250
Cu 0.000 0.500 0.500
Cu 0.500 0.000 0.000
F 0.123 0.616 0.323
F 0.149 0.267 0.982
F 0.226 0.634 0.622
F 0.267 0.149 0.482
F 0.366 0.774 0.878
F 0.384 0.877 0.177
F 0.616 0.123 0.823
F 0.634 0.226 0.122
F 0.733 0.851 0.518
F 0.774 0.366 0.378
F 0.851 0.733 0.018
F 0.877 0.384 0.677

---

This entry pairs a crystal structure of Rb2Mg3F8 with its calculated X-ray powder pattern. Radiation: λ = 1.5418 Å (Cu Kα). Structure: the PBE geometry in Alexandria.

Main lines, sorted by position (10° ≤ 2θ ≤ 90°):
2θ (°)  Rel. int.
21.71  578
25.16  1000
25.60  354
26.84  998
28.24  310
31.73  589
37.62  307
38.67  378
48.23  323
50.67  292

Structural model:
Unit cell a=7.322 b=7.322 c=5.397 alpha=106.89 beta=106.89 gamma=51.14
Element x y z (fractional)
Rb 0.224 0.224 0.177
Rb 0.776 0.776 0.823
Mg 0.240 0.760 0.500
Mg 0.500 0.500 0.000
Mg 0.760 0.240 0.500
F 0.095 0.095 0.475
F 0.200 0.632 0.122
F 0.368 0.800 0.878
F 0.417 0.417 0.603
F 0.583 0.583 0.397
F 0.632 0.200 0.122
F 0.800 0.368 0.878
F 0.905 0.905 0.525

---

This entry pairs a crystal structure of Cs2Ca2Sn with its calculated X-ray powder pattern. Radiation: λ = 1.5418 Å (Cu Kα). Structure: the PBE geometry in Alexandria.

Main lines, sorted by position (10° ≤ 2θ ≤ 90°):
2θ (°)  Rel. int.
19.13  360
24.23  863
24.43  635
26.43  1000
29.71  282
33.31  323
38.83  273
41.74  345
44.24  237
45.70  384

Structural model:
Unit cell a=8.506 b=8.506 c=7.288 alpha=90.00 beta=90.00 gamma=90.00
Element x y z (fractional)
Cs 0.191 0.309 0.000
Cs 0.309 0.809 0.000
Cs 0.691 0.191 0.000
Cs 0.809 0.691 0.000
Ca 0.165 0.665 0.500
Ca 0.335 0.165 0.500
Ca 0.665 0.835 0.500
Ca 0.835 0.335 0.500
Sn 0.000 0.000 0.500
Sn 0.500 0.500 0.500

---

This entry pairs a crystal structure of NaTiSnF6 with its calculated X-ray powder pattern. Radiation: λ = 1.5418 Å (Cu Kα). Structure: the PBE geometry in Alexandria.

Main lines, sorted by position (10° ≤ 2θ ≤ 90°):
2θ (°)  Rel. int.
18.06  232
25.39  1000
31.54  216
36.40  190
40.41  106
40.92  269
48.48  397
52.56  268
56.17  163
71.79  110

Structural model:
Unit cell a=5.673 b=5.673 c=10.022 alpha=90.00 beta=90.00 gamma=120.00
Element x y z (fractional)
Na 0.333 0.667 0.250
Na 0.667 0.333 0.750
Ti 0.333 0.667 0.750
Ti 0.667 0.333 0.250
Sn 0.000 0.000 0.000
Sn 0.000 0.000 0.500
F 0.042 0.376 0.638
F 0.042 0.667 0.862
F 0.333 0.376 0.862
F 0.333 0.958 0.638
F 0.376 0.042 0.138
F 0.376 0.333 0.362
F 0.624 0.667 0.638
F 0.624 0.958 0.862
F 0.667 0.042 0.362
F 0.667 0.624 0.138
F 0.958 0.333 0.138
F 0.958 0.624 0.362

---

This entry pairs a crystal structure of Pm2ScPt3 with its calculated X-ray powder pattern. Radiation: λ = 1.5418 Å (Cu Kα). Structure: the PBE geometry in Alexandria.

Main lines, sorted by position (10° ≤ 2θ ≤ 90°):
2θ (°)  Rel. int.
30.45  80
31.14  1000
43.38  141
44.61  487
45.83  91
54.35  146
56.44  99
64.92  107
73.75  200
80.46  88

Structural model:
Unit cell a=4.172 b=5.746 c=11.880 alpha=90.00 beta=90.00 gamma=90.00
Element x y z (fractional)
Pm 0.000 0.000 0.173
Pm 0.000 0.000 0.827
Pm 0.500 0.500 0.327
Pm 0.500 0.500 0.673
Sc 0.000 0.000 0.500
Sc 0.500 0.500 0.000
Pt 0.000 0.500 0.146
Pt 0.000 0.500 0.500
Pt 0.000 0.500 0.854
Pt 0.500 0.000 0.000
Pt 0.500 0.000 0.354
Pt 0.500 0.000 0.646

---

This entry pairs a crystal structure of Ba4CaCu6Hg2O16 with its calculated X-ray powder pattern. Radiation: λ = 1.5418 Å (Cu Kα). Structure: the PBE geometry in Alexandria.

Main lines, sorted by position (10° ≤ 2θ ≤ 90°):
2θ (°)  Rel. int.
26.04  577
28.53  1000
31.11  301
31.73  309
34.01  512
34.42  161
46.75  310
48.84  444
57.56  280
59.05  231

Structural model:
Unit cell a=3.730 b=7.453 c=17.250 alpha=90.00 beta=90.00 gamma=90.00
Element x y z (fractional)
Ba 0.000 0.000 0.000
Ba 0.000 0.000 0.353
Ba 0.000 0.500 0.361
Ba 0.000 0.500 0.999
Ca 0.000 0.500 0.579
Cu 0.500 0.234 0.488
Cu 0.500 0.245 0.689
Cu 0.500 0.250 0.865
Cu 0.500 0.750 0.865
Cu 0.500 0.755 0.689
Cu 0.500 0.766 0.488
Hg 0.500 0.255 0.179
Hg 0.500 0.745 0.179
O 0.000 0.249 0.888
O 0.000 0.256 0.671
O 0.000 0.263 0.475
O 0.000 0.737 0.475
O 0.000 0.744 0.671
O 0.000 0.751 0.888
O 0.500 0.000 0.455
O 0.500 0.000 0.670
O 0.500 0.000 0.888
O 0.500 0.251 0.063
O 0.500 0.257 0.296
O 0.500 0.500 0.486
O 0.500 0.500 0.666
O 0.500 0.500 0.887
O 0.500 0.743 0.296
O 0.500 0.749 0.063

---

This entry pairs a crystal structure of Cu6SnWS8 with its calculated X-ray powder pattern. Radiation: λ = 1.5418 Å (Cu Kα). Structure: the PBE geometry in Alexandria.

Main lines, sorted by position (10° ≤ 2θ ≤ 90°):
2θ (°)  Rel. int.
16.44  75
23.57  74
28.87  1000
33.22  122
47.69  194
48.23  376
56.72  281
57.66  134
77.99  106
89.29  124

Structural model:
Unit cell a=7.628 b=7.628 c=5.282 alpha=90.00 beta=90.00 gamma=90.00
Element x y z (fractional)
Cu 0.000 0.500 0.004
Cu 0.250 0.250 0.500
Cu 0.250 0.750 0.500
Cu 0.500 0.000 0.996
Cu 0.750 0.250 0.500
Cu 0.750 0.750 0.500
Sn 0.000 0.000 0.000
W 0.500 0.500 0.000
S 0.000 0.266 0.736
S 0.000 0.734 0.736
S 0.257 0.500 0.244
S 0.266 0.000 0.264
S 0.500 0.257 0.756
S 0.500 0.743 0.756
S 0.734 0.000 0.264
S 0.743 0.500 0.244

---

This entry pairs a crystal structure of AcSm2TmS6 with its calculated X-ray powder pattern. Radiation: λ = 1.5418 Å (Cu Kα). Structure: the PBE geometry in Alexandria.

Main lines, sorted by position (10° ≤ 2θ ≤ 90°):
2θ (°)  Rel. int.
17.14  345
23.73  1000
24.92  989
34.69  488
38.15  614
43.19  504
43.90  445
50.63  180
57.12  173
63.38  160

Structural model:
Unit cell a=7.516 b=7.516 c=7.516 alpha=56.76 beta=56.76 gamma=56.76
Element x y z (fractional)
Ac 0.000 0.000 0.000
Sm 0.210 0.210 0.210
Sm 0.717 0.717 0.717
Tm 0.513 0.513 0.513
S 0.124 0.416 0.799
S 0.343 0.909 0.581
S 0.416 0.799 0.124
S 0.581 0.343 0.909
S 0.799 0.124 0.416
S 0.909 0.581 0.343